(1)
Starting from a DFT-relaxed cell (PBE, Alexandria), the powder X-ray diffraction pattern of Dy2Y3Hg2 was calculated for Cu Kα.
Lines closer than 0.1° are merged.

Cell and atoms:
```
Dy2Y3Hg2
1.0
4.6473 -2.6796 0.0000
4.6473 2.6796 0.0000
-3.0873 0.0000 7.9333
Dy Y Hg
2 3 2
Cartesian
0.0015 0.0000 1.7999 Dy
6.2057 0.0000 6.1334 Dy
3.0989 0.0000 0.2122 Y
3.1036 0.0000 3.9666 Y
3.1083 0.0000 7.7211 Y
0.0065 0.0000 5.0908 Hg
6.2008 0.0000 2.8425 Hg
```

Largest 10 diffraction maxima, by angle, 10° ≤ 2θ ≤ 90°:
- 2θ 19.5, 4.558 Å, I = 12
- 2θ 32.6, 2.743 Å, I = 97
- 2θ 33.4, 2.681 Å, I = 100
- 2θ 47.4, 1.918 Å, I = 34
- 2θ 57.8, 1.596 Å, I = 15
- 2θ 59.2, 1.560 Å, I = 35
- 2θ 59.7, 1.548 Å, I = 19
- 2θ 68.4, 1.372 Å, I = 9
- 2θ 70.2, 1.341 Å, I = 13
- 2θ 79.6, 1.204 Å, I = 10

(2)
Starting from a DFT-relaxed cell (PBE, Alexandria), the powder X-ray diffraction pattern of Pm2Sc2Se2S3 was calculated for Cu Kα.
Lines closer than 0.1° are merged.

Cell and atoms:
```
Pm2Sc2Se2S3
1.0
-2.4033 2.4033 9.3086
2.4033 -2.4033 9.3086
2.4033 2.4033 -9.3086
Pm Sc Se S
2 2 2 3
Cartesian
0.0000 0.0000 3.2849 Pm
0.0000 0.0000 15.3323 Pm
2.4033 0.0000 0.0000 Sc
0.0000 2.4033 0.0000 Sc
0.0000 0.0000 7.5704 Se
0.0000 0.0000 11.0468 Se
0.0000 0.0000 0.0000 S
2.4033 0.0000 4.6543 S
0.0000 2.4033 4.6543 S
```

Largest 10 diffraction maxima, by angle, 10° ≤ 2θ ≤ 90°:
- 2θ 23.4, 3.800 Å, I = 58
- 2θ 26.2, 3.399 Å, I = 47
- 2θ 30.4, 2.944 Å, I = 100
- 2θ 32.6, 2.745 Å, I = 50
- 2θ 37.4, 2.403 Å, I = 70
- 2θ 44.6, 2.031 Å, I = 22
- 2θ 47.3, 1.920 Å, I = 24
- 2θ 47.9, 1.900 Å, I = 21
- 2θ 48.9, 1.862 Å, I = 54
- 2θ 54.0, 1.699 Å, I = 24

(3)
Starting from a DFT-relaxed cell (PBE, Alexandria), the powder X-ray diffraction pattern of Tb5Pm5Nd was calculated for Cu Kα.
Lines closer than 0.1° are merged.

Cell and atoms:
```
Tb5Pm5Nd
1.0
6.1557 0.0000 0.0000
-3.0778 5.3310 0.0000
0.0000 0.0000 11.7099
Tb Pm Nd
5 5 1
Cartesian
0.0000 0.0000 2.7421 Tb
0.0000 0.0000 8.9678 Tb
1.5456 0.8923 0.0000 Tb
4.6101 0.8923 0.0000 Tb
3.0778 3.5463 0.0000 Tb
0.0000 0.0000 5.8550 Pm
0.0000 3.5540 2.0775 Pm
0.0000 3.5540 9.6325 Pm
3.0778 1.7770 4.0157 Pm
3.0778 1.7770 7.6942 Pm
0.0000 3.5540 5.8550 Nd
```

Largest 10 diffraction maxima, by angle, 10° ≤ 2θ ≤ 90°:
- 2θ 28.3, 3.149 Å, I = 100
- 2θ 29.0, 3.078 Å, I = 86
- 2θ 30.0, 2.977 Å, I = 30
- 2θ 32.9, 2.724 Å, I = 25
- 2θ 34.5, 2.599 Å, I = 36
- 2θ 35.0, 2.566 Å, I = 34
- 2θ 37.1, 2.426 Å, I = 28
- 2θ 37.2, 2.417 Å, I = 24
- 2θ 51.0, 1.790 Å, I = 39
- 2θ 60.1, 1.539 Å, I = 28

(4)
Starting from a DFT-relaxed cell (PBE, Alexandria), the powder X-ray diffraction pattern of LiCa4Ag3 was calculated for Cu Kα.
Lines closer than 0.1° are merged.

Cell and atoms:
```
LiCa4Ag3
1.0
7.9858 -2.6494 0.0000
7.9858 2.6494 0.0000
-1.7530 0.0000 5.0005
Li Ca Ag
1 4 3
Cartesian
0.0000 0.0000 0.0000 Li
0.9486 0.0000 3.1419 Ca
4.4077 0.0000 4.3586 Ca
9.8108 0.0000 0.6420 Ca
13.2699 0.0000 1.8587 Ca
3.4803 0.0000 1.2215 Ag
7.1092 0.0000 2.5003 Ag
10.7382 0.0000 3.7790 Ag
```

Largest 10 diffraction maxima, by angle, 10° ≤ 2θ ≤ 90°:
- 2θ 11.7, 7.536 Å, I = 15
- 2θ 17.7, 4.999 Å, I = 19
- 2θ 23.7, 3.747 Å, I = 14
- 2θ 24.4, 3.646 Å, I = 15
- 2θ 33.7, 2.657 Å, I = 100
- 2θ 33.8, 2.649 Å, I = 50
- 2θ 48.6, 1.873 Å, I = 17
- 2θ 60.3, 1.535 Å, I = 16
- 2θ 60.5, 1.531 Å, I = 33
- 2θ 81.2, 1.185 Å, I = 10

(5)
Starting from a DFT-relaxed cell (PBE, Alexandria), the powder X-ray diffraction pattern of LaTa2NO5 was calculated for Cu Kα.
Lines closer than 0.1° are merged.

Cell and atoms:
```
LaTa2NO5
1.0
5.5252 0.0000 0.0000
0.0000 11.3105 0.0000
-0.0114 0.0000 7.7122
La Ta N O
4 8 4 20
Cartesian
1.1063 0.0000 7.7101 La
1.6109 10.4376 3.8668 La
3.9030 4.7824 3.8454 La
4.4076 5.6552 0.0021 La
1.1415 3.5971 1.9439 Ta
1.2214 3.6665 5.7635 Ta
1.5738 6.9682 5.7290 Ta
1.6049 6.8794 1.9519 Ta
3.9089 1.2242 5.7603 Ta
3.9400 1.3129 1.9831 Ta
4.2924 9.3218 1.9486 Ta
4.3724 9.2524 5.7683 Ta
0.6742 8.5742 5.3792 N
1.6459 3.6366 3.8603 N
3.8679 9.2918 3.8519 N
4.8397 2.9190 2.3329 N
0.1222 5.5910 2.2024 O
0.1526 5.5505 5.5190 O
0.5510 3.9285 7.7068 O
0.6530 8.5177 2.3182 O
1.1426 6.8842 0.0070 O
2.0927 1.9624 1.4702 O
2.1030 1.9893 6.2437 O
2.2199 6.6564 3.8479 O
2.6343 5.0431 1.6432 O
2.7061 4.9312 6.0811 O
2.8078 10.5864 1.6310 O
2.8796 10.6983 6.0689 O
3.2940 1.0011 3.8643 O
3.4109 7.6445 1.4685 O
3.4212 7.6176 6.2420 O
4.3712 1.2290 7.7051 O
4.8609 2.8624 5.3940 O
4.9629 9.5838 0.0054 O
5.3612 11.2057 2.1932 O
5.3917 11.2462 5.5098 O
```

Largest 10 diffraction maxima, by angle, 10° ≤ 2θ ≤ 90°:
- 2θ 23.1, 3.856 Å, I = 26
- 2θ 28.0, 3.186 Å, I = 22
- 2θ 28.7, 3.114 Å, I = 89
- 2θ 29.3, 3.045 Å, I = 100
- 2θ 32.4, 2.762 Å, I = 36
- 2θ 39.5, 2.280 Å, I = 23
- 2θ 47.1, 1.928 Å, I = 20
- 2θ 52.0, 1.759 Å, I = 25
- 2θ 56.1, 1.639 Å, I = 29
- 2θ 57.8, 1.594 Å, I = 24

(6)
Starting from a DFT-relaxed cell (PBE, Alexandria), the powder X-ray diffraction pattern of Na2PuBr2O2 was calculated for Cu Kα.
Lines closer than 0.1° are merged.

Cell and atoms:
```
Na2PuBr2O2
1.0
-2.1337 2.1337 8.5735
2.1337 -2.1337 8.5735
2.1337 2.1337 -8.5735
Na Pu Br O
2 1 2 2
Cartesian
0.0000 0.0000 2.1203 Na
0.0000 0.0000 15.0268 Na
0.0000 0.0000 8.5735 Pu
0.0000 0.0000 5.6402 Br
0.0000 0.0000 11.5068 Br
2.1337 0.0000 0.0000 O
0.0000 2.1337 0.0000 O
```

Largest 10 diffraction maxima, by angle, 10° ≤ 2θ ≤ 90°:
- 2θ 10.3, 8.574 Å, I = 52
- 2θ 21.5, 4.141 Å, I = 100
- 2θ 29.6, 3.018 Å, I = 51
- 2θ 31.3, 2.858 Å, I = 24
- 2θ 33.5, 2.673 Å, I = 59
- 2θ 42.4, 2.134 Å, I = 26
- 2θ 43.6, 2.074 Å, I = 34
- 2θ 48.0, 1.897 Å, I = 25
- 2θ 53.6, 1.710 Å, I = 20
- 2θ 55.1, 1.668 Å, I = 29